Structure and simulated powder XRD pattern of In4Se3N2 (a cell relaxed with PBE; Cu Kα (λ = 1.5418 Å)).
Kinematic intensities with the Lorentz-polarization factor, no thermal factor.

Cell and atoms:
```
In4Se3N2
1.0
6.605 0.000 0.000
0.000 11.923 0.000
0.000 0.000 11.009
In Se N
16 12 8
Direct
0.116 0.250 0.121
0.137 0.030 0.887
0.137 0.470 0.887
0.233 0.250 0.550
0.267 0.750 0.050
0.363 0.530 0.387
0.363 0.970 0.387
0.384 0.750 0.621
0.616 0.250 0.379
0.637 0.030 0.613
0.637 0.470 0.613
0.733 0.250 0.950
0.767 0.750 0.450
0.863 0.530 0.113
0.863 0.970 0.113
0.884 0.750 0.879
0.001 0.250 0.350
0.031 0.067 0.655
0.031 0.433 0.655
0.469 0.567 0.155
0.469 0.933 0.155
0.499 0.750 0.850
0.501 0.250 0.150
0.531 0.067 0.845
0.531 0.433 0.845
0.969 0.567 0.345
0.969 0.933 0.345
0.999 0.750 0.650
0.041 0.624 0.981
0.041 0.876 0.981
0.459 0.124 0.481
0.459 0.376 0.481
0.541 0.624 0.519
0.541 0.876 0.519
0.959 0.124 0.019
0.959 0.376 0.019
```

Most intense lines, 5° ≤ 2θ ≤ 70°, by angle:
| (hkl) | 2θ (°) | d (Å) | I (rel.) |
| --- | --- | --- | --- |
| 0 3 1 | 23.80 | 3.738 | 72 |
| 1 2 2 | 25.83 | 3.449 | 100 |
| 0 4 0 | 29.98 | 2.981 | 39 |
| 2 2 1 | 32.03 | 2.794 | 42 |
| 0 0 4 | 32.53 | 2.752 | 35 |
| 3 3 2 | 50.19 | 1.818 | 28 |